Diffraction record for Cs3NbAs3. The powder diffractogram is theoretical, not measured: it uses a cell relaxed with GGA-PBE and Cu Ka.
No peak broadening, texture or thermal motion is included.

Lattice parameters (Å, degrees): 10.207 8.424 14.125 90.00 94.48 90.00
Fractional positions:
Cs 0.022 0.093 0.145
Cs 0.022 0.407 0.645
Cs 0.353 0.677 0.792
Cs 0.353 0.823 0.292
Cs 0.381 0.197 0.940
Cs 0.381 0.303 0.440
Cs 0.619 0.697 0.560
Cs 0.619 0.803 0.060
Cs 0.647 0.177 0.708
Cs 0.647 0.323 0.208
Cs 0.978 0.593 0.355
Cs 0.978 0.907 0.855
Nb 0.147 0.564 0.057
Nb 0.147 0.936 0.557
Nb 0.853 0.064 0.443
Nb 0.853 0.436 0.943
As 0.089 0.077 0.400
As 0.089 0.423 0.900
As 0.256 0.683 0.531
As 0.256 0.817 0.031
As 0.287 0.082 0.676
As 0.287 0.418 0.176
As 0.713 0.582 0.824
As 0.713 0.918 0.324
As 0.744 0.183 0.969
As 0.744 0.317 0.469
As 0.911 0.577 0.100
As 0.911 0.923 0.600

Largest 10 diffraction maxima, most intense first, 2θ = 15–90°:
d = 3.248 Å, intensity 100
d = 3.894 Å, intensity 85
d = 3.722 Å, intensity 57
d = 3.157 Å, intensity 49
d = 2.797 Å, intensity 42
d = 3.820 Å, intensity 40
d = 3.780 Å, intensity 35
d = 3.119 Å, intensity 29
d = 3.197 Å, intensity 28
d = 3.091 Å, intensity 25

***

Diffraction record for AgSnAuO4. The powder diffractogram is theoretical, not measured: it uses a cell relaxed with GGA-PBE and Cu Ka.
No peak broadening, texture or thermal motion is included.

Lattice parameters (Å, degrees): 7.009 7.009 7.009 127.71 126.94 77.73
Fractional positions:
Ag 0.401 0.151 0.250
Ag 0.599 0.849 0.750
Sn 0.000 0.500 0.500
Sn 0.500 0.500 0.000
Au 0.000 0.000 0.500
Au 0.000 0.500 0.000
O 0.166 0.707 0.459
O 0.252 0.293 0.959
O 0.263 0.294 0.531
O 0.263 0.731 0.969
O 0.737 0.269 0.031
O 0.737 0.706 0.469
O 0.748 0.707 0.041
O 0.834 0.293 0.541

Largest 10 diffraction maxima, most intense first, 2θ = 15–90°:
d = 2.686 Å, intensity 100
d = 1.712 Å, intensity 52
d = 5.440 Å, intensity 48
d = 3.134 Å, intensity 46
d = 3.146 Å, intensity 44
d = 2.716 Å, intensity 44
d = 2.705 Å, intensity 35
d = 2.061 Å, intensity 26
d = 1.567 Å, intensity 25
d = 1.708 Å, intensity 24

***

Diffraction record for SiB2. The powder diffractogram is theoretical, not measured: it uses a cell relaxed with GGA-PBE and Cu Ka.
No peak broadening, texture or thermal motion is included.

Lattice parameters (Å, degrees): 3.053 3.828 5.697 90.00 95.49 90.00
Fractional positions:
Si 0.056 0.000 0.209
Si 0.944 0.000 0.791
B 0.091 0.484 0.354
B 0.409 0.687 0.646
B 0.591 0.687 0.354
B 0.909 0.484 0.646

Largest 10 diffraction maxima, most intense first, 2θ = 15–90°:
d = 3.039 Å, intensity 100
d = 2.836 Å, intensity 97
d = 3.828 Å, intensity 83
d = 2.380 Å, intensity 76
d = 3.173 Å, intensity 72
d = 2.279 Å, intensity 57
d = 1.620 Å, intensity 52
d = 1.759 Å, intensity 44
d = 1.695 Å, intensity 38
d = 1.537 Å, intensity 37

***

Diffraction record for Ti2CuHOs. The powder diffractogram is theoretical, not measured: it uses a cell relaxed with GGA-PBE and Cu Ka.
No peak broadening, texture or thermal motion is included.

Lattice parameters (Å, degrees): 4.285 4.285 3.301 90.00 90.00 90.00
Fractional positions:
Ti 0.000 0.500 0.000
Ti 0.500 0.000 0.000
Cu 0.000 0.000 0.500
H 0.000 0.000 0.000
Os 0.500 0.500 0.500

Largest 10 diffraction maxima, most intense first, 2θ = 15–90°:
d = 2.232 Å, intensity 100
d = 2.143 Å, intensity 45
d = 1.254 Å, intensity 30
d = 4.285 Å, intensity 29
d = 3.030 Å, intensity 25
d = 2.615 Å, intensity 18
d = 1.308 Å, intensity 17
d = 3.301 Å, intensity 15
d = 1.515 Å, intensity 14
d = 1.797 Å, intensity 11

***

Diffraction record for K4NaSr. The powder diffractogram is theoretical, not measured: it uses a cell relaxed with GGA-PBE and Cu Ka.
No peak broadening, texture or thermal motion is included.

Lattice parameters (Å, degrees): 8.187 8.187 8.187 60.00 60.00 60.00
Fractional positions:
K 0.125 0.125 0.125
K 0.125 0.125 0.625
K 0.125 0.625 0.125
K 0.625 0.125 0.125
Na 0.500 0.500 0.500
Sr 0.750 0.750 0.750

Largest 10 diffraction maxima, most intense first, 2θ = 15–90°:
d = 3.491 Å, intensity 100
d = 2.228 Å, intensity 37
d = 3.342 Å, intensity 33
d = 4.094 Å, intensity 33
d = 2.047 Å, intensity 28
d = 1.507 Å, intensity 22
d = 2.363 Å, intensity 15
d = 1.746 Å, intensity 13
d = 1.766 Å, intensity 13
d = 5.789 Å, intensity 12

***

Diffraction record for NpPaNi2. The powder diffractogram is theoretical, not measured: it uses a cell relaxed with GGA-PBE and Cu Ka.
No peak broadening, texture or thermal motion is included.

Lattice parameters (Å, degrees): 9.890 9.890 9.890 16.96 16.96 16.96
Fractional positions:
Np 0.000 0.000 0.000
Pa 0.500 0.500 0.500
Ni 0.084 0.084 0.084
Ni 0.916 0.916 0.916

Largest 10 diffraction maxima, most intense first, 2θ = 15–90°:
d = 2.490 Å, intensity 100
d = 4.873 Å, intensity 67
d = 2.388 Å, intensity 50
d = 1.912 Å, intensity 47
d = 2.436 Å, intensity 40
d = 2.078 Å, intensity 35
d = 1.252 Å, intensity 29
d = 1.610 Å, intensity 26
d = 1.459 Å, intensity 24
d = 1.398 Å, intensity 14